Entry 1:
This entry pairs a crystal structure of BaBi2Br2O5 with its calculated X-ray diffraction stick pattern. Radiation: Cu Kα X-rays. Structure: a PBE-relaxed structure.
Peak positions follow from Bragg's law for the DFT cell and can differ from measured ones.

Structural model:
```
BaBi2Br2O5
1.0
-2.0270 2.0270 13.7625
2.0270 -2.0270 13.7625
2.0270 2.0270 -13.7625
Ba Bi Br O
1 2 2 5
Direct
0.0000 0.0000 0.0000
0.1323 0.1323 0.0000
0.4064 0.4064 0.0000
0.3114 0.3114 0.0000
0.6933 0.6933 0.0000
0.0897 0.5897 0.5000
0.4264 0.9264 0.5000
0.4873 0.4873 0.0000
0.5897 0.0897 0.5000
0.9264 0.4264 0.5000
```

Most intense lines, 5° ≤ 2θ ≤ 70°, by angle:
2θ (°)	I_rel
6.42	48
12.86	55
22.16	55
24.00	85
31.20	72
31.70	100
42.45	26
44.71	38
45.70	23
55.84	41

=====

Entry 2:
This entry pairs a crystal structure of Mg3Ga2Hg4 with its calculated X-ray diffraction stick pattern. Radiation: Cu Kα X-rays. Structure: a PBE-relaxed structure.
Peak positions follow from Bragg's law for the DFT cell and can differ from measured ones.

Structural model:
```
Mg3Ga2Hg4
1.0
3.4065 0.0000 0.0000
-0.0021 7.8734 0.0000
-1.6093 -3.9334 7.3544
Mg Ga Hg
3 2 4
Direct
0.0000 0.0000 0.0000
0.1467 0.6466 0.2935
0.8533 0.3534 0.7065
0.4986 0.6670 0.0001
0.5014 0.3330 0.9999
0.3248 0.0136 0.6635
0.3256 0.6498 0.6636
0.6744 0.3502 0.3364
0.6752 0.9864 0.3365
```

Most intense lines, 5° ≤ 2θ ≤ 70°, by angle:
2θ (°)	I_rel
12.03	50
21.35	50
22.59	55
26.79	28
26.94	35
31.80	35
32.19	34
36.66	62
38.92	100
43.51	48

=====

Please write out number 2 again, unchanged.
This entry pairs a crystal structure of Mg3Ga2Hg4 with its calculated X-ray diffraction stick pattern. Radiation: Cu Kα X-rays. Structure: a PBE-relaxed structure.
Peak positions follow from Bragg's law for the DFT cell and can differ from measured ones.

Structural model:
```
Mg3Ga2Hg4
1.0
3.4065 0.0000 0.0000
-0.0021 7.8734 0.0000
-1.6093 -3.9334 7.3544
Mg Ga Hg
3 2 4
Direct
0.0000 0.0000 0.0000
0.1467 0.6466 0.2935
0.8533 0.3534 0.7065
0.4986 0.6670 0.0001
0.5014 0.3330 0.9999
0.3248 0.0136 0.6635
0.3256 0.6498 0.6636
0.6744 0.3502 0.3364
0.6752 0.9864 0.3365
```

Most intense lines, 5° ≤ 2θ ≤ 70°, by angle:
2θ (°)	I_rel
12.03	50
21.35	50
22.59	55
26.79	28
26.94	35
31.80	35
32.19	34
36.66	62
38.92	100
43.51	48